Tm8BiC4: computed powder XRD pattern (copper Kα), based on a DFT-relaxed cell (PBE, Alexandria).

Peak list (10 most intense, 2θ from 15° to 90°, low angle first)
two_theta  I (rel.)  index
25.7  19  0 0 6
30.0  74  2 0 2
33.5  100  0 2 4
36.0  44  2 0 5
39.0  23  0 0 9
42.1  25  0 2 7
45.5  17  2 0 8
50.8  40  2 2 0
62.2  18  4 0 4
65.8  30  2 2 9

Cell and atoms:
```
data_Tm8BiC4
_cell_length_a 7.1917
_cell_length_b 7.1917
_cell_length_c 20.7884
_cell_angle_alpha 90.00
_cell_angle_beta 90.00
_cell_angle_gamma 120.00
_space_group_name_H-M_alt 'R -3 m'
_space_group_IT_number 166
_space_group_name_Hall '-R 3 2"'
loop_
_atom_site_label
_atom_site_fract_x
_atom_site_fract_y
_atom_site_fract_z
Tm1 0.0000 0.0000 0.2307
Tm2 0.0021 0.5010 0.2281
Bi1 0.0000 0.0000 0.0000
C1 0.0000 0.0000 0.5000
C2 0.0000 0.5000 0.5000
```


SnBi4Pb12: computed powder XRD pattern (copper Kα), based on a DFT-relaxed cell (PBE, Alexandria).

Peak list (10 most intense, 2θ from 15° to 90°, low angle first)
two_theta  I (rel.)  index
23.1  9  2 0 -2
25.9  100  2 1 -2
30.7  24  1 0 -3
36.9  29  3 1 -1
37.0  15  3 -3 1
40.6  21  2 0 2
40.7  10  2 -4 2
42.3  28  1 -4 0
42.4  17  4 0 -1
58.8  11  2 -6 2

Cell and atoms:
```
data_SnBi4Pb12
_cell_length_a 9.3918
_cell_length_b 9.4209
_cell_length_c 9.4312
_cell_angle_alpha 109.52
_cell_angle_beta 109.41
_cell_angle_gamma 109.35
_space_group_name_H-M_alt 'P -1'
_space_group_IT_number 2
loop_
_space_group_symop_operation_xyz
'x,y,z'
'-x,-y,-z'
loop_
_atom_site_label
_atom_site_fract_x
_atom_site_fract_y
_atom_site_fract_z
Sn1 0.0000 0.0000 0.0000
Bi1 0.0000 0.0000 0.5000
Bi2 0.0000 0.5000 0.0000
Bi3 0.5000 0.0000 0.0000
Bi4 0.5000 0.5000 0.5000
Pb1 0.1445 0.4964 0.3510
Pb2 0.1453 0.7942 0.6494
Pb3 0.2064 0.3509 0.8546
Pb4 0.3507 0.8549 0.2055
Pb5 0.3519 0.1452 0.4965
Pb6 0.4960 0.3510 0.1451
```


Tb4ThAg5: computed powder XRD pattern (copper Kα), based on a DFT-relaxed cell (PBE, Alexandria).

Peak list (10 most intense, 2θ from 15° to 90°, low angle first)
two_theta  I (rel.)  index
34.4  100  1 0 5
35.0  49  1 1 0
48.6  9  0 0 10
50.3  17  2 0 0
61.3  17  1 1 10
62.4  35  2 1 5
72.5  10  2 0 10
81.5  7  1 0 15
84.1  8  3 0 5
84.4  8  3 1 0

Cell and atoms:
```
data_Tb4ThAg5
_cell_length_a 3.6283
_cell_length_b 3.6283
_cell_length_c 18.7409
_cell_angle_alpha 90.00
_cell_angle_beta 90.00
_cell_angle_gamma 90.00
_space_group_name_H-M_alt 'P 4/m m m'
_space_group_IT_number 123
_space_group_name_Hall '-P 4 2'
loop_
_atom_site_label
_atom_site_fract_x
_atom_site_fract_y
_atom_site_fract_z
Tb1 0.0000 0.0000 0.0989
Tb2 0.0000 0.0000 0.2952
Th1 0.0000 0.0000 0.5000
Ag1 0.5000 0.5000 0.0000
Ag2 0.5000 0.5000 0.1971
Ag3 0.5000 0.5000 0.3902
```


UHgIO4: computed powder XRD pattern (copper Kα), based on a DFT-relaxed cell (PBE, Alexandria).

Peak list (10 most intense, 2θ from 15° to 90°, low angle first)
two_theta  I (rel.)  index
15.8  29  2 0 0
22.1  100  0 2 0
22.5  47  2 0 -2
23.2  32  3 1 -1
25.2  32  2 0 1
26.1  33  0 0 2
27.5  62  4 0 -1
31.8  33  2 2 -2
34.5  35  0 2 2
35.6  49  4 2 -1

Cell and atoms:
```
data_UHgIO4
_cell_length_a 13.0700
_cell_length_b 8.0284
_cell_length_c 7.9424
_cell_angle_alpha 90.00
_cell_angle_beta 120.75
_cell_angle_gamma 90.00
_space_group_name_H-M_alt 'C 1 2/m 1'
_space_group_IT_number 12
loop_
_space_group_symop_operation_xyz
'x,y,z'
'-x,-y,-z'
'-x,y,-z'
'x,-y,z'
'x+1/2,y+1/2,z'
'-x+1/2,-y+1/2,-z'
'-x+1/2,y+1/2,-z'
'x+1/2,-y+1/2,z'
loop_
_atom_site_label
_atom_site_fract_x
_atom_site_fract_y
_atom_site_fract_z
U1 0.1474 0.0000 0.1786
Hg1 0.1812 0.5000 0.1862
I1 0.0572 0.5000 0.7029
O1 0.0437 0.0000 0.8903
O2 0.1741 0.2491 0.1685
O3 0.2204 0.0000 0.4519
```


V2H3Ru3: computed powder XRD pattern (copper Kα), based on a DFT-relaxed cell (PBE, Alexandria).

Peak list (10 most intense, 2θ from 15° to 90°, low angle first)
two_theta  I (rel.)  index
35.0  30  2 0 -4
36.0  51  1 1 -2
39.0  30  4 0 -1
39.9  100  4 0 1
40.5  62  1 1 3
41.8  56  2 0 -5
43.4  35  3 1 -1
44.0  44  2 0 5
44.1  55  3 1 1
48.3  31  3 1 -3

Cell and atoms:
```
data_V2H3Ru3
_cell_length_a 9.3360
_cell_length_b 2.8543
_cell_length_c 11.8436
_cell_angle_alpha 90.00
_cell_angle_beta 93.39
_cell_angle_gamma 90.00
_space_group_name_H-M_alt 'C 1 m 1'
_space_group_IT_number 8
loop_
_space_group_symop_operation_xyz
'x,y,z'
'x,-y,z'
'x+1/2,y+1/2,z'
'x+1/2,-y+1/2,z'
loop_
_atom_site_label
_atom_site_fract_x
_atom_site_fract_y
_atom_site_fract_z
V1 0.0000 0.0000 0.0000
V2 0.0145 0.0000 0.3745
V3 0.0585 0.5000 0.7783
V4 0.2742 0.0000 0.5126
H1 0.1390 0.5000 0.9407
H2 0.3259 0.5000 0.4245
H3 0.3831 0.5000 0.2500
H4 0.4054 0.0000 0.6406
H5 0.4421 0.0000 0.9070
H6 0.4545 0.0000 0.4561
Ru1 0.0785 0.5000 0.5750
Ru2 0.2039 0.5000 0.3041
Ru3 0.2204 0.5000 0.0875
Ru4 0.2502 0.0000 0.8908
Ru5 0.3341 0.5000 0.7115
Ru6 0.4545 0.0000 0.1720
```